[1]
This entry pairs a crystal structure of La2Sn2Ir with its computed powder XRD pattern. Radiation: Cu Kα X-rays. Structure: a crystal structure in Alexandria, relaxed with PBE.
No peak broadening, texture or thermal motion is included.

Peak list (10 most intense, 2θ from 5° to 70°, sorted by position)
2θ (°)	d (Å)	intensity
8.62	10.260	39
29.75	3.003	81
30.38	2.942	39
30.52	2.929	88
31.11	2.874	37
33.70	2.660	39
36.58	2.456	100
38.48	2.339	38
38.97	2.311	77
59.62	1.551	40

Structure:
```
10
Lattice="5.762 -2.311 0.000 5.762 2.311 0.000 -5.074 0.000 10.260" Properties=species:S:1:pos:R:3 pbc="T T T"
La -0.835 0.000 1.732
La -0.983 0.000 6.456
La 7.433 0.000 3.804
La 7.285 0.000 8.528
Sn -0.937 0.000 9.774
Sn 2.389 0.000 6.351
Sn 4.061 0.000 3.909
Sn 7.387 0.000 0.487
Ir 2.290 0.000 1.781
Ir 4.159 0.000 8.479
```



[2]
This entry pairs a crystal structure of La3Sn4Ir2 with its computed powder XRD pattern. Radiation: Cu Kα X-rays. Structure: a crystal structure in Alexandria, relaxed with PBE.
No peak broadening, texture or thermal motion is included.

Peak list (10 most intense, 2θ from 5° to 70°, sorted by position)
2θ (°)	d (Å)	intensity
10.30	8.585	45
15.66	5.658	31
29.92	2.986	53
30.46	2.935	100
31.26	2.862	42
34.41	2.606	32
35.72	2.514	25
38.55	2.336	69
38.80	2.321	82
58.43	1.580	27

Structure:
```
9
Lattice="5.900 -2.336 0.000 5.900 2.336 0.000 -2.540 0.000 8.585" Properties=species:S:1:pos:R:3 pbc="T T T"
La 0.000 0.000 0.000
La 3.590 0.000 2.677
La 5.670 0.000 5.908
Sn 0.085 0.000 3.360
Sn 1.135 0.000 7.898
Sn 8.126 0.000 0.687
Sn 9.176 0.000 5.225
Ir 1.974 0.000 5.321
Ir 7.287 0.000 3.264
```



[3]
This entry pairs a crystal structure of La4SnIr2 with its computed powder XRD pattern. Radiation: Cu Kα X-rays. Structure: a crystal structure in Alexandria, relaxed with PBE.
No peak broadening, texture or thermal motion is included.

Peak list (10 most intense, 2θ from 5° to 70°, sorted by position)
2θ (°)	d (Å)	intensity
12.98	6.822	45
18.35	4.836	20
26.06	3.419	73
29.34	3.044	80
34.72	2.584	100
37.18	2.418	41
43.97	2.059	28
46.14	1.968	44
48.08	1.892	29
65.46	1.426	20

Structure:
```
14
Lattice="0.000 6.833 6.845 4.811 0.000 6.845 4.811 6.833 0.000" Properties=species:S:1:pos:R:3 pbc="T T T"
La 2.743 2.957 2.955
La 6.880 6.374 6.378
La 4.474 7.293 2.955
La 4.474 2.957 7.311
La 5.148 10.710 6.378
La 5.148 6.374 10.734
La 2.743 7.293 7.311
La 6.880 10.710 10.734
Sn 3.608 5.125 5.133
Sn 6.014 8.542 8.556
Ir 0.000 0.000 0.000
Ir 2.406 3.417 0.000
Ir 2.406 0.000 3.422
Ir 0.000 3.417 3.422
```



[4]
This entry pairs a crystal structure of La5Sn10Ir4 with its computed powder XRD pattern. Radiation: Cu Kα X-rays. Structure: a crystal structure in Alexandria, relaxed with PBE.
No peak broadening, texture or thermal motion is included.

Peak list (10 most intense, 2θ from 5° to 70°, sorted by position)
2θ (°)	d (Å)	intensity
17.61	5.036	27
29.45	3.033	38
31.44	2.845	52
32.06	2.792	85
32.71	2.738	100
33.93	2.642	32
38.03	2.366	71
38.44	2.342	33
40.57	2.224	41
50.52	1.807	39

Structure:
```
38
Lattice="14.243 0.000 0.000 0.000 14.243 0.000 0.000 0.000 4.732" Properties=species:S:1:pos:R:3 pbc="T T T"
La 0.000 0.000 0.000
La 1.590 5.532 2.366
La 2.524 9.646 2.366
La 4.598 2.524 2.366
La 5.532 12.654 2.366
La 7.122 7.122 0.000
La 8.711 1.590 2.366
La 9.646 11.719 2.366
La 11.719 4.598 2.366
La 12.654 8.711 2.366
Sn 0.026 11.916 2.366
Sn 0.999 8.121 0.000
Sn 2.204 2.824 0.000
Sn 2.327 0.026 2.366
Sn 2.824 12.039 0.000
Sn 4.298 4.918 0.000
Sn 4.794 7.148 2.366
Sn 4.918 9.946 0.000
Sn 6.122 0.999 0.000
Sn 7.095 4.794 2.366
Sn 7.148 9.449 2.366
Sn 8.121 13.244 0.000
Sn 9.326 4.298 0.000
Sn 9.449 7.095 2.366
Sn 9.946 9.326 0.000
Sn 11.419 2.204 0.000
Sn 11.916 14.217 2.366
Sn 12.039 11.419 0.000
Sn 13.244 6.122 0.000
Sn 14.217 2.327 2.366
Ir 0.392 10.736 0.000
Ir 3.507 0.392 0.000
Ir 3.614 7.514 0.000
Ir 6.730 3.614 0.000
Ir 7.514 10.629 0.000
Ir 10.629 6.730 0.000
Ir 10.736 13.851 0.000
Ir 13.851 3.507 0.000
```



[5]
This entry pairs a crystal structure of LaSn2Ir with its computed powder XRD pattern. Radiation: Cu Kα X-rays. Structure: a crystal structure in Alexandria, relaxed with PBE.
No peak broadening, texture or thermal motion is included.

Peak list (10 most intense, 2θ from 5° to 70°, sorted by position)
2θ (°)	d (Å)	intensity
10.17	8.702	27
30.66	2.916	97
32.06	2.792	100
35.20	2.550	34
36.04	2.492	58
36.92	2.435	31
38.50	2.338	68
44.78	2.024	35
53.76	1.705	38
62.67	1.482	30

Structure:
```
16
Lattice="-2.338 4.869 8.702 2.338 -4.869 8.702 2.338 4.869 -8.702" Properties=species:S:1:pos:R:3 pbc="T T T"
La 0.000 0.000 3.622
La 0.000 2.292 0.000
La 0.000 7.447 0.000
La 0.000 0.000 13.782
Sn 2.338 0.000 1.403
Sn 2.338 -1.556 5.238
Sn 0.000 0.000 7.247
Sn 2.338 1.556 5.238
Sn 0.000 3.313 3.464
Sn 0.000 0.000 10.157
Sn 0.000 6.426 3.464
Sn 0.000 4.869 7.299
Ir 2.338 2.420 -2.542
Ir 2.338 2.420 2.542
Ir 0.000 2.449 6.160
Ir 0.000 2.449 11.244
```



[6]
This entry pairs a crystal structure of La3Sn3Ir2 with its computed powder XRD pattern. Radiation: Cu Kα X-rays. Structure: a crystal structure in Alexandria, relaxed with PBE.
No peak broadening, texture or thermal motion is included.

Peak list (10 most intense, 2θ from 5° to 70°, sorted by position)
2θ (°)	d (Å)	intensity
30.52	2.929	90
32.01	2.796	64
34.04	2.634	100
34.65	2.589	55
35.82	2.507	89
38.66	2.329	33
38.89	2.316	63
43.64	2.074	30
44.75	2.025	34
55.53	1.655	25

Structure:
```
32
Lattice="8.603 0.000 0.000 0.000 15.999 0.000 0.000 0.000 6.017" Properties=species:S:1:pos:R:3 pbc="T T T"
La 0.294 1.773 0.647
La 0.294 6.226 0.647
La 1.455 4.000 3.814
La 2.847 11.999 0.805
La 4.008 9.772 3.655
La 4.008 14.226 3.655
La 4.595 1.773 2.362
La 4.595 6.226 2.362
La 5.756 4.000 5.212
La 7.149 11.999 2.203
La 8.310 9.772 5.370
La 8.310 14.226 5.370
Sn 1.497 11.999 3.721
Sn 1.578 0.549 3.685
Sn 1.578 7.450 3.685
Sn 2.723 8.548 0.677
Sn 2.723 15.450 0.677
Sn 2.805 4.000 0.713
Sn 5.798 11.999 5.304
Sn 5.880 0.549 5.340
Sn 5.880 7.450 5.340
Sn 7.025 8.548 2.331
Sn 7.025 15.450 2.331
Sn 7.107 4.000 2.296
Ir 0.819 9.771 2.209
Ir 0.819 14.227 2.209
Ir 3.483 1.772 5.218
Ir 3.483 6.227 5.218
Ir 5.120 9.771 0.799
Ir 5.120 14.227 0.799
Ir 7.785 1.772 3.808
Ir 7.785 6.227 3.808
```



[7]
This entry pairs a crystal structure of La2TmSn3Ir4 with its computed powder XRD pattern. Radiation: Cu Kα X-rays. Structure: a crystal structure in Alexandria, relaxed with PBE.
No peak broadening, texture or thermal motion is included.

Peak list (10 most intense, 2θ from 5° to 70°, sorted by position)
2θ (°)	d (Å)	intensity
15.28	5.799	12
30.73	2.909	36
32.56	2.750	100
40.85	2.209	61
42.54	2.125	43
44.10	2.054	26
51.99	1.759	20
59.15	1.562	21
61.67	1.504	20
69.17	1.358	23

Structure:
```
10
Lattice="4.418 0.000 0.000 0.000 4.418 0.000 0.000 0.000 11.598" Properties=species:S:1:pos:R:3 pbc="T T T"
La 0.000 2.209 2.749
La 2.209 0.000 8.849
Tm 0.000 0.000 5.799
Sn 0.000 2.209 10.133
Sn 2.209 0.000 1.465
Sn 2.209 2.209 5.799
Ir 0.000 0.000 0.000
Ir 0.000 2.209 7.497
Ir 2.209 0.000 4.100
Ir 2.209 2.209 0.000
```



[8]
This entry pairs a crystal structure of Sr2LaIr with its computed powder XRD pattern. Radiation: Cu Kα X-rays. Structure: a crystal structure in Alexandria, relaxed with PBE.
No peak broadening, texture or thermal motion is included.

Peak list (10 most intense, 2θ from 5° to 70°, sorted by position)
2θ (°)	d (Å)	intensity
9.90	8.935	100
19.87	4.468	14
21.26	4.180	13
30.00	2.978	28
30.23	2.956	14
31.18	2.868	58
34.34	2.612	36
39.99	2.255	33
42.03	2.150	13
52.50	1.743	11

Structure:
```
8
Lattice="3.943 0.000 0.000 0.000 4.299 0.000 0.000 0.000 17.870" Properties=species:S:1:pos:R:3 pbc="T T T"
Sr 0.000 0.000 0.000
Sr 0.000 2.150 8.935
Sr 1.972 0.000 5.685
Sr 1.972 2.150 14.621
La 1.972 0.000 11.633
La 1.972 2.150 2.698
Ir 0.000 0.000 3.119
Ir 0.000 2.150 12.054
```



[9]
This entry pairs a crystal structure of LaTaIr with its computed powder XRD pattern. Radiation: Cu Kα X-rays. Structure: a crystal structure in Alexandria, relaxed with PBE.
No peak broadening, texture or thermal motion is included.

Peak list (10 most intense, 2θ from 5° to 70°, sorted by position)
2θ (°)	d (Å)	intensity
12.89	6.868	73
27.59	3.233	21
30.56	2.925	57
32.61	2.746	100
38.23	2.354	77
39.42	2.286	98
48.74	1.868	28
52.06	1.757	54
56.97	1.616	36
61.11	1.516	25

Structure:
```
6
Lattice="4.572 0.000 0.000 0.000 4.572 0.000 0.000 0.000 6.868" Properties=species:S:1:pos:R:3 pbc="T T T"
La 1.143 1.143 0.873
La 3.429 3.429 5.995
Ta 1.143 3.429 3.434
Ta 3.429 1.143 3.434
Ir 1.143 1.143 4.678
Ir 3.429 3.429 2.191
```



[10]
This entry pairs a crystal structure of La3TbIr with its computed powder XRD pattern. Radiation: Cu Kα X-rays. Structure: a crystal structure in Alexandria, relaxed with PBE.
No peak broadening, texture or thermal motion is included.

Peak list (10 most intense, 2θ from 5° to 70°, sorted by position)
2θ (°)	d (Å)	intensity
17.63	5.030	25
22.05	4.032	30
29.48	3.030	100
29.86	2.993	44
38.19	2.356	43
38.49	2.339	24
45.65	1.987	22
46.40	1.957	32
49.84	1.830	23
55.48	1.656	18

Structure:
```
10
Lattice="7.953 0.000 0.000 0.000 6.744 0.000 0.000 0.000 6.493" Properties=species:S:1:pos:R:3 pbc="T T T"
La 0.000 0.998 0.000
La 1.988 2.132 3.240
La 1.988 4.612 6.486
La 3.977 5.746 3.246
La 5.965 2.132 3.240
La 5.965 4.612 6.486
Tb 0.000 5.634 3.257
Tb 3.977 1.110 0.011
Ir 0.000 3.374 1.617
Ir 3.977 3.371 4.863
```



[11]
This entry pairs a crystal structure of La2ThIr2 with its computed powder XRD pattern. Radiation: Cu Kα X-rays. Structure: a crystal structure in Alexandria, relaxed with PBE.
No peak broadening, texture or thermal motion is included.

Peak list (10 most intense, 2θ from 5° to 70°, sorted by position)
2θ (°)	d (Å)	intensity
22.75	3.909	21
26.86	3.319	35
28.02	3.184	98
33.60	2.667	29
36.50	2.462	100
37.17	2.419	52
41.77	2.163	71
42.76	2.115	27
57.92	1.592	23
58.16	1.586	25

Structure:
```
10
Lattice="2.419 -7.761 0.000 2.419 7.761 0.000 0.000 0.000 7.343" Properties=species:S:1:pos:R:3 pbc="T T T"
La 2.419 6.625 3.672
La 2.419 3.909 6.070
La 2.419 -3.909 2.399
La 2.419 -6.625 0.000
Th 2.419 1.188 3.684
Th 2.419 -1.188 0.012
Ir 2.419 5.430 1.083
Ir 2.419 2.325 1.193
Ir 2.419 -2.325 4.864
Ir 2.419 -5.430 4.755
```



[12]
This entry pairs a crystal structure of La4Tl5Ir2 with its computed powder XRD pattern. Radiation: Cu Kα X-rays. Structure: a crystal structure in Alexandria, relaxed with PBE.
No peak broadening, texture or thermal motion is included.

Peak list (10 most intense, 2θ from 5° to 70°, sorted by position)
2θ (°)	d (Å)	intensity
23.00	3.867	34
29.87	2.991	22
30.86	2.898	42
31.80	2.814	100
32.87	2.724	37
33.54	2.672	28
33.67	2.662	29
35.74	2.512	29
35.99	2.496	27
46.99	1.934	30

Structure:
```
11
Lattice="8.193 0.000 0.000 0.000 3.867 0.000 -0.694 0.000 9.912" Properties=species:S:1:pos:R:3 pbc="T T T"
La 1.267 0.000 3.363
La 1.073 0.000 9.280
La 6.426 0.000 0.632
La 6.232 0.000 6.548
Tl 0.869 1.934 6.341
Tl 3.643 1.934 1.650
Tl 3.750 1.934 4.956
Tl 3.856 1.934 8.262
Tl 6.630 1.934 3.570
Ir 0.605 1.934 1.358
Ir 6.894 1.934 8.554
```